# Tm11Ge10
Simulated XRD peak list, Cu Kα, 1.54184 Å. Input: the PBE geometry in OQMD.
Lines closer than 0.1° are merged.

Crystal structure
Lattice parameters (Å, degrees): 11.0981 11.0981 11.0981 121.85 121.85 86.83
Element x y z (fractional)
Tm  0.0587  0.3105  0.7482
Tm  0.1022  0.4278  0.3256
Tm  0.1022  0.7766  0.6744
Tm  0.1609  0.1609  0.0000
Tm  0.2234  0.8978  0.3256
Tm  0.3105  0.0587  0.7482
Tm  0.3105  0.5622  0.2518
Tm  0.3227  0.3227  0.6454
Tm  0.3227  0.6773  0.0000
Tm  0.4278  0.1022  0.3256
Tm  0.4378  0.6895  0.7482
Tm  0.5622  0.3105  0.2518
Tm  0.5722  0.8978  0.6744
Tm  0.6773  0.3227  0.0000
Tm  0.6773  0.6773  0.3546
Tm  0.6895  0.4378  0.7482
Tm  0.6895  0.9413  0.2518
Tm  0.7766  0.1022  0.6744
Tm  0.8391  0.8391  0.0000
Tm  0.8978  0.2234  0.3256
Tm  0.8978  0.5722  0.6744
Tm  0.9413  0.6895  0.2518
Ge  0.0283  0.0283  0.4175
Ge  0.0283  0.6108  0.0000
Ge  0.1213  0.1213  0.2427
Ge  0.1213  0.8787  0.0000
Ge  0.1415  0.5000  0.6415
Ge  0.2500  0.7500  0.5000
Ge  0.3870  0.3870  0.0000
Ge  0.3892  0.3892  0.4175
Ge  0.3892  0.9717  0.0000
Ge  0.5000  0.1415  0.6415
Ge  0.5000  0.8585  0.3585
Ge  0.6108  0.0283  0.0000
Ge  0.6108  0.6108  0.5825
Ge  0.6130  0.6130  0.0000
Ge  0.7500  0.2500  0.5000
Ge  0.8585  0.5000  0.3585
Ge  0.8787  0.1213  0.0000
Ge  0.8787  0.8787  0.7573
Ge  0.9717  0.3892  0.0000
Ge  0.9717  0.9717  0.5825

Peak list (10 most intense, 5 to 70 degrees two-theta, in order of rising 2θ)
d 3.509, I 21
d 2.697, I 37
d 2.682, I 100
d 2.614, I 84
d 2.604, I 35
d 2.557, I 38
d 2.542, I 55
d 2.401, I 44
d 1.702, I 20
d 1.600, I 18